Calculated powder diffraction line list
Compound: NdTiCd11
Radiation: Cu Kα (weighted mean of Kα1 and Kα2)
Structure: a PBE-relaxed structure
Kinematic intensities with the Lorentz-polarization factor, no thermal factor.

Atomic structure:
Unit cell a=7.6109 b=7.6109 c=7.6590 alpha=98.80 beta=98.80 gamma=133.63
Positions (direct):
Nd (0.0000, 0.0000, 0.0000)
Ti (0.5000, 0.5000, 0.5000)
Cd (0.0000, 0.0000, 0.5000)
Cd (0.0000, 0.5000, 0.0000)
Cd (0.0210, 0.3615, 0.3511)
Cd (0.2932, 0.5070, 0.7828)
Cd (0.3615, 0.0210, 0.3511)
Cd (0.4930, 0.7068, 0.2172)
Cd (0.5000, 0.0000, 0.0000)
Cd (0.5070, 0.2932, 0.7828)
Cd (0.6385, 0.9790, 0.6489)
Cd (0.7068, 0.4930, 0.2172)
Cd (0.9790, 0.6385, 0.6489)

Principal peaks in the range 10° ≤ 2θ ≤ 90°, in order of rising 2θ:
- 29.82°, intensity 34
- 30.85°, intensity 73
- 34.97°, intensity 100
- 35.73°, intensity 82
- 35.98°, intensity 71
- 36.16°, intensity 87
- 39.57°, intensity 80
- 40.43°, intensity 34
- 40.75°, intensity 22
- 61.96°, intensity 24